Theoretical powder diffraction line list of In2NiW2 for λ = 1.5418 Å (Cu Kα), from a crystal structure in Alexandria, relaxed with PBE.

Structure:
Cell: 3.623 3.623 14.996 Å, 90.00 90.00 90.00°
Space group I4/mmm (No. 139)
Inequivalent atoms, fractional coordinates:
In 0.000 0.000 0.094 x4
Ni 0.000 0.000 0.500 x2
W 0.000 0.500 0.250 x4

Main lines, by intensity (15° ≤ 2θ ≤ 90°):
| Position (°2θ) | Rel. int. | index |
| --- | --- | --- |
| 37.08 | 100 | 1 1 2 |
| 42.75 | 55 | 1 1 4 |
| 50.37 | 34 | 2 0 0 |
| 38.99 | 28 | 1 0 5 |
| 35.93 | 27 | 0 0 6 |
| 73.12 | 21 | 1 1 10 |
| 63.42 | 21 | 2 0 6 |
| 23.73 | 20 | 0 0 4 |

Theoretical powder diffraction line list of Li2SmPd4 for λ = 1.5418 Å (Cu Kα), from a crystal structure in Alexandria, relaxed with PBE.

Structure:
Cell: 5.188 6.620 6.984 Å, 90.00 90.00 90.00°
Space group Immm (No. 71)
Inequivalent atoms, fractional coordinates:
Li 0.246 0.000 0.000 x4
Sm 0.000 0.500 0.000 x2
Pd 0.000 0.204 0.303 x8

Main lines, by intensity (15° ≤ 2θ ≤ 90°):
| Position (°2θ) | Rel. int. | index |
| --- | --- | --- |
| 34.60 | 100 | 2 0 0 |
| 37.44 | 52 | 0 2 2 |
| 18.47 | 50 | 0 1 1 |
| 42.57 | 48 | 1 0 3 |
| 33.77 | 43 | 1 1 2 |
| 51.87 | 37 | 2 2 2 |
| 44.62 | 37 | 1 3 0 |
| 68.94 | 26 | 3 3 0 |

> Which formula does entry 2 have?

Li2SmPd4